(1)
The following is a simulated PXRD pattern of Rb2DyMoO6. It was derived from the PBE+U geometry in Alexandria, using Cu Kα (λ = 1.5418 Å).
Neutral-atom scattering factors, no anomalous dispersion.

Principal peaks in the range 10 to 90 degrees two-theta, in order of rising 2θ:
d = 5.679 Å, 15.60°, I 100; d = 4.080 Å, 21.78°, I 38; d = 3.279 Å, 27.20°, I 95; d = 2.605 Å, 34.42°, I 37; d = 2.556 Å, 35.11°, I 27; d = 2.186 Å, 41.31°, I 37; d = 2.040 Å, 44.41°, I 31; d = 1.893 Å, 48.06°, I 18; d = 1.732 Å, 52.86°, I 29; d = 1.639 Å, 56.10°, I 17

Cell and atoms:
```
10
Lattice="6.558 0.000 0.000 -3.279 5.679 0.000 0.000 0.000 5.864" Properties=species:S:1:pos:R:3 pbc="T T T"
Rb 0.000 3.786 0.625
Rb 3.279 1.893 5.240
Dy 0.000 0.000 2.932
Mo 0.000 0.000 0.000
O 0.000 1.525 4.646
O -1.958 4.917 4.646
O 1.321 0.763 1.218
O 1.958 4.917 4.646
O 5.237 0.763 1.218
O 3.279 4.154 1.218
```

(2)
The following is a simulated PXRD pattern of SmDyMo2O8. It was derived from the PBE+U geometry in Alexandria, using Cu Kα (λ = 1.5418 Å).
Neutral-atom scattering factors, no anomalous dispersion.

Principal peaks in the range 10 to 90 degrees two-theta, in order of rising 2θ:
d = 3.109 Å, 28.71°, I 100; d = 2.797 Å, 32.00°, I 13; d = 2.645 Å, 33.89°, I 20; d = 1.922 Å, 47.30°, I 31; d = 1.870 Å, 48.69°, I 15; d = 1.669 Å, 55.03°, I 16; d = 1.603 Å, 57.50°, I 28; d = 1.555 Å, 59.46°, I 11; d = 1.245 Å, 76.51°, I 12; d = 1.236 Å, 77.16°, I 6

Cell and atoms:
```
12
Lattice="-2.645 2.645 5.593 2.645 -2.645 5.593 2.645 2.645 -5.593" Properties=species:S:1:pos:R:3 pbc="T T T"
Sm 0.000 0.000 0.000
Dy 2.645 0.000 2.797
Mo 0.000 0.000 5.593
Mo 0.000 2.645 2.797
O 1.251 0.986 -1.780
O 1.229 -0.916 4.609
O 1.729 1.416 0.984
O 1.659 -1.394 7.373
O 1.416 3.561 -0.984
O 1.394 1.659 3.813
O 0.916 1.229 6.577
O 0.986 4.039 1.780
```